Simulated PXRD pattern
Compound: MnNi2Se6
Radiation: Cu Kα (λ = 1.5418 Å)
Structure: a structure optimized by DFT (GGA-PBE)

Most intense lines, 2θ = 5–70°, by angle:
- 15.60°, d = 5.681 Å, intensity 74
- 29.65°, d = 3.013 Å, intensity 29
- 29.81°, d = 2.997 Å, intensity 35
- 32.83°, d = 2.728 Å, intensity 48
- 37.57°, d = 2.394 Å, intensity 100
- 42.90°, d = 2.108 Å, intensity 24
- 49.39°, d = 1.845 Å, intensity 31
- 50.51°, d = 1.807 Å, intensity 21
- 51.75°, d = 1.766 Å, intensity 29
- 52.06°, d = 1.757 Å, intensity 24

```
data_MnNi2Se6
_chemical_formula_sum 'Mn2 Ni4 Se12'
_space_group_name_H-M_alt 'C 1 2/m 1'
_space_group_IT_number 12
_cell_length_a 11.3640
_cell_length_b 3.6140
_cell_length_c 10.7353
_cell_angle_alpha 90.00
_cell_angle_beta 120.76
_cell_angle_gamma 90.00
loop_
_space_group_symop_operation_xyz
'x,y,z'
'-x,-y,-z'
'-x,y,-z'
'x,-y,z'
'x+1/2,y+1/2,z'
'-x+1/2,-y+1/2,-z'
'-x+1/2,y+1/2,-z'
'x+1/2,-y+1/2,z'
loop_
_atom_site_label
_atom_site_type_symbol
_atom_site_fract_x
_atom_site_fract_y
_atom_site_fract_z
_atom_site_occupancy
Mn1 Mn 0.0000 0.0000 0.0000 1
Ni1 Ni 0.1645 0.5000 0.3339 1
Se1 Se 0.0586 0.5000 0.8831 1
Se2 Se 0.1168 0.0000 0.4493 1
Se3 Se 0.2233 0.0000 0.2251 1
```

Simulated PXRD pattern
Compound: MnSi2Ni4
Radiation: Cu Kα (λ = 1.5418 Å)
Structure: a structure optimized by DFT (GGA-PBE)

Most intense lines, 2θ = 5–70°, by angle:
- 18.40°, d = 4.823 Å, intensity 28
- 30.65°, d = 2.917 Å, intensity 15
- 38.41°, d = 2.344 Å, intensity 100
- 41.88°, d = 2.157 Å, intensity 50
- 45.01°, d = 2.014 Å, intensity 65
- 48.10°, d = 1.892 Å, intensity 10
- 49.01°, d = 1.859 Å, intensity 62
- 49.80°, d = 1.831 Å, intensity 37
- 55.55°, d = 1.654 Å, intensity 24
- 67.04°, d = 1.396 Å, intensity 22

```
data_MnSi2Ni4
_chemical_formula_sum 'Mn2 Si4 Ni8'
_space_group_name_H-M_alt 'P 42/m n m'
_space_group_IT_number 136
_space_group_name_Hall '-P 4n 2n'
_cell_length_a 6.8207
_cell_length_b 6.8207
_cell_length_c 3.6623
_cell_angle_alpha 90.00
_cell_angle_beta 90.00
_cell_angle_gamma 90.00
loop_
_atom_site_label
_atom_site_type_symbol
_atom_site_fract_x
_atom_site_fract_y
_atom_site_fract_z
_atom_site_occupancy
Mn1 Mn 0.0000 0.0000 0.0000 1
Si1 Si 0.2247 0.2247 0.5000 1
Ni1 Ni 0.0860 0.6615 0.5000 1
```

Simulated PXRD pattern
Compound: MnSiNi3
Radiation: Cu Kα (λ = 1.5418 Å)
Structure: a structure optimized by DFT (GGA-PBE)

Most intense lines, 2θ = 5–70°, by angle:
- 34.78°, d = 2.579 Å, intensity 100
- 36.15°, d = 2.485 Å, intensity 43
- 38.90°, d = 2.315 Å, intensity 35
- 39.36°, d = 2.289 Å, intensity 27
- 41.06°, d = 2.198 Å, intensity 89
- 44.22°, d = 2.048 Å, intensity 48
- 46.34°, d = 1.959 Å, intensity 32
- 46.51°, d = 1.953 Å, intensity 28
- 51.19°, d = 1.785 Å, intensity 30
- 57.86°, d = 1.594 Å, intensity 24

```
data_MnSiNi3
_chemical_formula_sum 'Mn2 Si2 Ni6'
_space_group_name_H-M_alt 'P b a m'
_space_group_IT_number 55
_cell_length_a 4.9695
_cell_length_b 6.3706
_cell_length_c 4.3961
_cell_angle_alpha 90.00
_cell_angle_beta 90.00
_cell_angle_gamma 90.00
loop_
_space_group_symop_operation_xyz
'x,y,z'
'-x,-y,-z'
'-x,-y,z'
'x,y,-z'
'x+1/2,-y+1/2,-z'
'-x+1/2,y+1/2,z'
'-x+1/2,y+1/2,-z'
'x+1/2,-y+1/2,z'
loop_
_atom_site_label
_atom_site_type_symbol
_atom_site_fract_x
_atom_site_fract_y
_atom_site_fract_z
_atom_site_occupancy
Mn1 Mn 0.0000 0.0000 0.0000 1
Si1 Si 0.0000 0.5000 0.5000 1
Ni1 Ni 0.0000 0.5000 0.0000 1
Ni2 Ni 0.1180 0.1721 0.5000 1
```

Simulated PXRD pattern
Compound: SmMnNi10
Radiation: Cu Kα (λ = 1.5418 Å)
Structure: a structure optimized by DFT (GGA-PBE)

Most intense lines, 2θ = 5–70°, by angle:
- 28.50°, d = 3.132 Å, intensity 6
- 31.11°, d = 2.875 Å, intensity 33
- 37.62°, d = 2.391 Å, intensity 25
- 43.63°, d = 2.074 Å, intensity 12
- 43.75°, d = 2.069 Å, intensity 21
- 44.14°, d = 2.052 Å, intensity 100
- 45.42°, d = 1.997 Å, intensity 32
- 49.62°, d = 1.837 Å, intensity 14
- 60.39°, d = 1.533 Å, intensity 14
- 64.86°, d = 1.438 Å, intensity 19

```
data_SmMnNi10
_chemical_formula_sum 'Sm1 Mn1 Ni10'
_space_group_name_H-M_alt 'P m m m'
_space_group_IT_number 47
_cell_length_a 3.9940
_cell_length_b 4.7748
_cell_length_c 8.2974
_cell_angle_alpha 90.00
_cell_angle_beta 90.00
_cell_angle_gamma 90.00
loop_
_space_group_symop_operation_xyz
'x,y,z'
'-x,-y,-z'
'-x,-y,z'
'x,y,-z'
'x,-y,-z'
'-x,y,z'
'-x,y,-z'
'x,-y,z'
loop_
_atom_site_label
_atom_site_type_symbol
_atom_site_fract_x
_atom_site_fract_y
_atom_site_fract_z
_atom_site_occupancy
Sm1 Sm 0.0000 0.0000 0.0000 1
Mn1 Mn 0.0000 0.5000 0.5000 1
Ni1 Ni 0.0000 0.0000 0.3450 1
Ni2 Ni 0.0000 0.5000 0.1861 1
Ni3 Ni 0.5000 0.0000 0.5000 1
Ni4 Ni 0.5000 0.2526 0.2572 1
Ni5 Ni 0.5000 0.5000 0.0000 1
```